Theoretical XRD peak list of KCuTeBr6 for Cu Kα, from a DFT-relaxed cell (PBE, Alexandria).
Intensities are scaled so that the largest is 100.

Principal peaks in the range 10° ≤ 2θ ≤ 90°, sorted by position:
- 12.34 deg, I = 64, (0 1 0)
- 18.07 deg, I = 34, (1 1 0)
- 20.22 deg, I = 35, (1 -1 1)
- 26.25 deg, I = 100, (1 1 2)
- 27.81 deg, I = 33, (1 -1 2)
- 30.41 deg, I = 40, (2 -1 1)
- 33.52 deg, I = 41, (1 2 2)
- 38.74 deg, I = 37, (2 -2 1)

Structure:
a = 6.8658 Å, b = 7.2291 Å, c = 7.4755 Å
α = 86.69°, β = 62.72°, γ = 82.71°
Fractional positions:
K1 0.0000 0.0000 0.0000
Cu1 0.6018 0.4988 0.7967
Te1 0.3105 0.5003 0.3795
Br1 0.0062 0.7892 0.4097
Br2 0.3126 0.3139 0.0593
Br3 0.3929 0.6861 0.6520
Br4 0.5847 0.2113 0.4095
Br5 0.6279 0.6861 0.0593
Br6 0.9562 0.3138 0.6519